Starting from a PBE-relaxed structure, the X-ray powder pattern of Pu4MnRh4 was computed for a wavelength of 1.5418 Å.
No peak broadening, texture or thermal motion is included.

Most intense lines, 2θ from 15° to 90°, by angle:
two_theta  d_spacing  I (rel.)
21.58  4.117  32
36.10  2.488  8
37.22  2.416  30
39.08  2.305  100
49.13  1.855  25
62.02  1.496  8
63.21  1.471  23
68.35  1.372  20
83.96  1.153  10
85.12  1.140  18

Structural model:
abc: 6.066 6.066 6.066
angles: 99.13 99.13 133.06
Fractional positions:
Pu  0.148  0.843  0.991
Pu  0.157  0.148  0.305
Pu  0.843  0.852  0.695
Pu  0.852  0.157  0.009
Mn  0.500  0.500  0.000
Rh  0.169  0.508  0.677
Rh  0.492  0.169  0.661
Rh  0.508  0.831  0.339
Rh  0.831  0.492  0.323